Structure and calculated powder diffraction line list of Ca5FeN4 (a cell relaxed with PBE; Cu Kα).
Peak positions follow from Bragg's law for the DFT cell and can differ from measured ones.

Top 12 peaks for 2θ = 15–90°, most intense first:
d (Å)	2θ (°)	Rel. int.
2.904	30.8	100
1.979	45.9	100
2.387	37.7	95
2.693	33.3	72
2.917	30.7	60
1.463	63.6	34
1.851	49.2	33
4.682	19.0	31
1.403	66.7	31
3.126	28.6	28
1.562	59.1	28
1.193	80.5	17

Atomic structure:
Unit cell a=7.4048 b=7.8484 c=5.8334 alpha=90.00 beta=90.00 gamma=90.00
Element x y z (fractional)
1 Ca 0.0021 0.0524 0.2430
2 Ca 0.0021 0.4476 0.2430
3 Ca 0.2500 0.2500 0.6906
4 Ca 0.4979 0.0524 0.2430
5 Ca 0.4979 0.4476 0.2430
6 Ca 0.5021 0.5524 0.7570
7 Ca 0.5021 0.9476 0.7570
8 Ca 0.7500 0.7500 0.3094
9 Ca 0.9979 0.5524 0.7570
10 Ca 0.9979 0.9476 0.7570
11 Fe 0.2500 0.7500 0.2983
12 Fe 0.7500 0.2500 0.7017
13 N 0.0219 0.7500 0.0928
14 N 0.2500 0.5191 0.4861
15 N 0.2500 0.9809 0.4861
16 N 0.4781 0.7500 0.0928
17 N 0.5219 0.2500 0.9072
18 N 0.7500 0.0191 0.5139
19 N 0.7500 0.4809 0.5139
20 N 0.9781 0.2500 0.9072

Structure and calculated powder diffraction line list of CaFe2N3 (a cell relaxed with PBE; Cu Kα).
Peak positions follow from Bragg's law for the DFT cell and can differ from measured ones.

Top 12 peaks for 2θ = 15–90°, most intense first:
d (Å)	2θ (°)	Rel. int.
4.776	18.6	100
2.589	34.6	65
2.097	43.1	45
2.419	37.2	36
1.861	49.0	33
2.388	37.7	28
1.523	60.8	19
2.829	31.6	18
5.179	17.1	18
1.468	63.4	17
2.128	42.5	16
2.008	45.1	15

Atomic structure:
Unit cell a=5.6840 b=5.6840 c=4.6689 alpha=90.00 beta=90.00 gamma=114.34
Element x y z (fractional)
1 Ca 0.2264 0.7736 0.7500
2 Ca 0.7736 0.2264 0.2500
3 Fe 0.3054 0.3054 0.0000
4 Fe 0.3054 0.3054 0.5000
5 Fe 0.6946 0.6946 0.0000
6 Fe 0.6946 0.6946 0.5000
7 N 0.0220 0.1943 0.7500
8 N 0.1943 0.0220 0.2500
9 N 0.4052 0.5948 0.2500
10 N 0.5948 0.4052 0.7500
11 N 0.8057 0.9780 0.7500
12 N 0.9780 0.8057 0.2500

Structure and calculated powder diffraction line list of Ca8Fe3N8 (a cell relaxed with PBE; Cu Kα).
Peak positions follow from Bragg's law for the DFT cell and can differ from measured ones.

Top 12 peaks for 2θ = 15–90°, most intense first:
d (Å)	2θ (°)	Rel. int.
2.500	35.9	100
2.686	33.4	58
2.854	31.3	53
4.079	21.8	34
2.890	30.9	28
2.472	36.3	27
2.409	37.3	26
2.828	31.6	24
3.763	23.6	21
2.083	43.4	21
1.600	57.6	18
2.264	39.8	17

Atomic structure:
Unit cell a=9.2622 b=9.2622 c=7.1072 alpha=105.43 beta=105.43 gamma=31.32
Element x y z (fractional)
1 Ca 0.0302 0.0302 0.2592
2 Ca 0.1986 0.1986 0.8074
3 Ca 0.3333 0.3333 0.5299
4 Ca 0.4078 0.4078 0.0326
5 Ca 0.5922 0.5922 0.9674
6 Ca 0.6667 0.6667 0.4701
7 Ca 0.8014 0.8014 0.1926
8 Ca 0.9698 0.9698 0.7408
9 Fe 0.1880 0.1880 0.2066
10 Fe 0.5000 0.5000 0.5000
11 Fe 0.8120 0.8120 0.7934
12 N 0.1044 0.1044 0.0050
13 N 0.1782 0.1782 0.4426
14 N 0.2807 0.2807 0.1690
15 N 0.4699 0.4699 0.7283
16 N 0.5301 0.5301 0.2717
17 N 0.7193 0.7193 0.8310
18 N 0.8218 0.8218 0.5574
19 N 0.8956 0.8956 0.9950

Structure and calculated powder diffraction line list of Ca6FeN5 (a cell relaxed with PBE; Cu Kα).
Peak positions follow from Bragg's law for the DFT cell and can differ from measured ones.

Top 12 peaks for 2θ = 15–90°, most intense first:
d (Å)	2θ (°)	Rel. int.
2.482	36.2	100
4.056	21.9	93
2.188	41.3	72
2.705	33.1	59
3.027	29.5	50
2.667	33.6	44
1.803	50.6	39
2.017	44.9	28
1.929	47.1	28
1.348	69.8	23
1.489	62.3	18
1.409	66.4	15

Atomic structure:
Unit cell a=6.2471 b=6.2471 c=12.2603 alpha=90.00 beta=90.00 gamma=120.00
Element x y z (fractional)
1 Ca 0.0000 0.3969 0.1202
2 Ca 0.0000 0.3969 0.3798
3 Ca 0.0000 0.6031 0.6202
4 Ca 0.0000 0.6031 0.8798
5 Ca 0.3969 0.0000 0.1202
6 Ca 0.3969 0.0000 0.3798
7 Ca 0.3969 0.3969 0.6202
8 Ca 0.3969 0.3969 0.8798
9 Ca 0.6031 0.0000 0.6202
10 Ca 0.6031 0.0000 0.8798
11 Ca 0.6031 0.6031 0.1202
12 Ca 0.6031 0.6031 0.3798
13 Fe 0.0000 0.0000 0.2500
14 Fe 0.0000 0.0000 0.7500
15 N 0.0000 0.2877 0.7500
16 N 0.0000 0.7123 0.2500
17 N 0.2877 0.0000 0.7500
18 N 0.2877 0.2877 0.2500
19 N 0.3333 0.6667 0.0000
20 N 0.3333 0.6667 0.5000
21 N 0.6667 0.3333 0.0000
22 N 0.6667 0.3333 0.5000
23 N 0.7123 0.0000 0.2500
24 N 0.7123 0.7123 0.7500